[1]
For NpBO3, a DFT-relaxed cell (GGA-PBE, the Materials Project) gives the calculated X-ray powder pattern in this record (copper Kα).
Neutral-atom scattering factors, no anomalous dispersion.

Cell and atoms:
```
NpBO3
1.0
3.575 0.000 0.000
0.000 3.575 0.000
0.000 0.000 3.575
Np B O
1 1 3
direct
0.000 0.000 0.000 Np
0.500 0.500 0.500 B
0.000 0.500 0.500 O
0.500 0.000 0.500 O
0.500 0.500 0.000 O
```

Top 6 peaks for 10° ≤ 2θ ≤ 90°, by angle:
(1 0 0), 24.90 deg, d = 3.575 Å, I 100
(1 1 0), 35.51 deg, d = 2.528 Å, I 98
(1 1 1), 43.86 deg, d = 2.064 Å, I 54
(2 0 0), 51.09 deg, d = 1.788 Å, I 28
(2 1 0), 57.65 deg, d = 1.599 Å, I 45
(2 1 1), 63.76 deg, d = 1.460 Å, I 38


[2]
For NpB3O8, a DFT-relaxed cell (GGA-PBE, the Materials Project) gives the calculated X-ray powder pattern in this record (copper Kα).
Neutral-atom scattering factors, no anomalous dispersion.

Cell and atoms:
```
NpB3O8
1.0
12.814 0.000 0.000
0.000 8.744 0.000
0.000 0.000 5.628
Np B O
4 12 32
direct
0.128 0.050 0.000 Np
0.372 0.050 0.500 Np
0.628 0.950 0.000 Np
0.872 0.950 0.500 Np
0.084 0.732 0.753 B
0.085 0.374 0.109 B
0.086 0.552 0.436 B
0.414 0.552 0.936 B
0.415 0.374 0.609 B
0.416 0.732 0.253 B
0.584 0.268 0.753 B
0.585 0.626 0.109 B
0.586 0.448 0.436 B
0.914 0.448 0.936 B
0.915 0.626 0.609 B
0.916 0.268 0.253 B
0.022 0.453 0.939 O
0.023 0.247 0.230 O
0.031 0.064 0.763 O
0.133 0.820 0.930 O
0.139 0.467 0.276 O
0.140 0.645 0.599 O
0.164 0.269 0.978 O
0.217 0.022 0.257 O
0.283 0.022 0.757 O
0.336 0.269 0.478 O
0.360 0.645 0.099 O
0.361 0.467 0.776 O
0.367 0.820 0.430 O
0.469 0.064 0.263 O
0.477 0.247 0.730 O
0.478 0.453 0.439 O
0.522 0.547 0.939 O
0.523 0.753 0.230 O
0.531 0.936 0.763 O
0.633 0.180 0.930 O
0.639 0.533 0.276 O
0.640 0.355 0.599 O
0.664 0.731 0.978 O
0.717 0.978 0.257 O
0.783 0.978 0.757 O
0.836 0.731 0.478 O
0.860 0.355 0.099 O
0.861 0.533 0.776 O
0.867 0.180 0.430 O
0.969 0.936 0.263 O
0.977 0.753 0.730 O
0.978 0.547 0.439 O
```

Top 6 peaks for 10° ≤ 2θ ≤ 90°, by angle:
(0 1 0), 10.12 deg, d = 8.744 Å, I 100
(0 2 0), 20.31 deg, d = 4.372 Å, I 22
(2 0 1), 21.01 deg, d = 4.228 Å, I 68
(2 1 1), 23.37 deg, d = 3.806 Å, I 94
(2 2 1), 29.39 deg, d = 3.039 Å, I 25
(4 1 2), 44.06 deg, d = 2.055 Å, I 24